The following is a theoretical powder diffraction line list of GdMoO5. It was derived from DFT lattice parameters and positions (GGA+U), using Cu Ka.
Intensities are scaled so that the largest is 1000.

Cell lengths 5.4016, 12.6508, 6.9776 Å; angles 90.00, 115.40, 90.00 degrees
Space group P2_1/c (No. 14)
Inequivalent atoms, fractional coordinates:
Gd (0.1446, 0.0554, 0.2886) (multiplicity 4)
Mo (0.4130, 0.1387, 0.8563) (multiplicity 4)
O (0.0026, 0.5793, 0.9519) (multiplicity 4)
O (0.2067, 0.0643, 0.9647) (multiplicity 4)
O (0.2671, 0.6524, 0.4220) (multiplicity 4)
O (0.2939, 0.2297, 0.2870) (multiplicity 4)
O (0.4877, 0.5734, 0.8392) (multiplicity 4)

Peak list (12 most intense, 2θ = 10–90°, by angle)
| index | 2theta | d (Å) | I_rel |
| --- | --- | --- | --- |
| 0 2 0 | 14.00 | 6.325 | 1000 |
| 1 1 0 | 19.50 | 4.553 | 617 |
| 1 2 -1 | 22.54 | 3.944 | 773 |
| 1 2 0 | 23.02 | 3.864 | 466 |
| 1 0 -2 | 26.27 | 3.392 | 551 |
| 1 1 -2 | 27.22 | 3.277 | 398 |
| 1 3 -1 | 27.57 | 3.236 | 573 |
| 1 3 0 | 27.96 | 3.191 | 494 |
| 0 0 2 | 28.38 | 3.145 | 894 |
| 1 2 1 | 30.98 | 2.886 | 466 |
| 0 4 1 | 31.67 | 2.825 | 568 |
| 2 1 -1 | 33.97 | 2.639 | 578 |

The following is a theoretical powder diffraction line list of Gd2Mo3O12. It was derived from DFT lattice parameters and positions (GGA+U), using Cu Ka.
Intensities are scaled so that the largest is 1000.

Cell lengths 7.6896, 11.5604, 11.6027 Å; angles 90.00, 109.16, 90.00 degrees
Space group C2/c (No. 15)
Inequivalent atoms, fractional coordinates:
Gd (0.1752, 0.1273, 0.0916) (multiplicity 8)
Mo (0.0000, 0.1215, 0.7500) (multiplicity 4)
Mo (0.1605, 0.3600, 0.5581) (multiplicity 8)
O (0.0114, 0.0420, 0.8890) (multiplicity 8)
O (0.0709, 0.2963, 0.9590) (multiplicity 8)
O (0.1133, 0.2132, 0.4143) (multiplicity 8)
O (0.1471, 0.4677, 0.4479) (multiplicity 8)
O (0.1983, 0.2103, 0.7814) (multiplicity 8)
O (0.2124, 0.4343, 0.7014) (multiplicity 8)

Peak list (12 most intense, 2θ = 10–90°, by angle)
| index | 2theta | d (Å) | I_rel |
| --- | --- | --- | --- |
| 1 1 0 | 14.41 | 6.146 | 260 |
| 0 0 2 | 16.17 | 5.480 | 191 |
| 0 2 1 | 17.34 | 5.113 | 176 |
| 1 1 2 | 24.56 | 3.625 | 214 |
| 2 2 -1 | 27.87 | 3.201 | 1000 |
| 0 2 3 | 28.91 | 3.088 | 821 |
| 0 4 0 | 30.94 | 2.890 | 257 |
| 2 0 2 | 33.79 | 2.653 | 164 |
| 2 0 -4 | 33.90 | 2.644 | 153 |
| 2 4 2 | 46.47 | 1.954 | 258 |
| 2 4 -4 | 46.55 | 1.951 | 252 |
| 4 0 -2 | 47.29 | 1.922 | 170 |